Record 1
Diffraction record for Ho3Ga6Pd5. The XRD peak list is calculated, not measured: it uses a cell relaxed with GGA-PBE and copper Kα.

Top 10 peaks for 2θ = 5–70°, low angle first:
2θ/deg	I_rel
29.51	26
34.11	24
35.44	100
35.82	37
35.95	26
36.35	21
38.58	23
41.99	47
42.46	18
69.10	16

Cell lengths 4.303, 12.773, 9.254 Å; angles 90.00, 90.00, 90.00 degrees
Space group Pmmn (No. 59, origin choice 2)
Asymmetric unit:
Ho 0.250 0.051 0.249 x4
Ho 0.250 0.750 0.253 x2
Ga 0.250 0.071 0.592 x4
Ga 0.250 0.250 0.043 x2
Ga 0.250 0.250 0.419 x2
Ga 0.250 0.598 0.978 x4
Pd 0.250 0.094 0.867 x4
Pd 0.250 0.633 0.531 x4
Pd 0.250 0.750 0.790 x2

Record 2
Diffraction record for HoGa6Pd3. The XRD peak list is calculated, not measured: it uses a cell relaxed with GGA-PBE and copper Kα.

Top 10 peaks for 2θ = 5–70°, low angle first:
2θ/deg	I_rel
29.00	43
34.31	33
34.73	25
35.83	25
36.60	25
38.24	87
39.15	100
39.73	93
41.29	57
43.49	53

Cell lengths 6.917, 6.874, 8.402 Å; angles 90.00, 119.32, 90.00 degrees
Space group P2_1/c (No. 14)
Asymmetric unit:
Ho 0.000 0.000 0.000 x2
Ga 0.141 0.043 0.673 x4
Ga 0.260 0.692 0.869 x4
Ga 0.474 0.189 0.267 x4
Pd 0.200 0.173 0.401 x4
Pd 0.500 0.000 0.000 x2

Record 3
Diffraction record for HoGa3Pd2. The XRD peak list is calculated, not measured: it uses a cell relaxed with GGA-PBE and copper Kα.

Top 10 peaks for 2θ = 5–70°, low angle first:
2θ/deg	I_rel
13.39	25
32.20	89
35.25	29
35.59	27
35.84	87
37.43	100
40.02	36
42.12	67
43.68	65
59.50	22

Cell lengths 4.291, 7.580, 13.517 Å; angles 90.00, 90.00, 90.00 degrees
Space group Immm (No. 71)
Asymmetric unit:
Ho 0.000 0.000 0.131 x4
Ga 0.000 0.208 0.323 x8
Ga 0.000 0.339 0.000 x4
Pd 0.000 0.321 0.500 x4
Pd 0.000 0.500 0.193 x4

Record 4
Diffraction record for Ho8GaPd2. The XRD peak list is calculated, not measured: it uses a cell relaxed with GGA-PBE and copper Kα.

Top 10 peaks for 2θ = 5–70°, low angle first:
2θ/deg	I_rel
29.65	73
31.58	95
31.81	96
31.93	67
32.73	34
34.43	62
35.43	100
36.96	33
61.38	23
61.91	22

Cell lengths 17.566, 5.067, 6.799 Å; angles 90.00, 106.77, 90.00 degrees
Space group C2/m (No. 12)
Asymmetric unit:
Ho 0.032 0.000 0.282 x4
Ho 0.094 0.500 0.964 x4
Ho 0.172 0.500 0.481 x4
Ho 0.199 0.000 0.823 x4
Ga 0.000 0.500 0.500 x2
Pd 0.183 0.000 0.219 x4

Record 5
Diffraction record for HoGa4Pd8. The XRD peak list is calculated, not measured: it uses a cell relaxed with GGA-PBE and copper Kα.

Top 10 peaks for 2θ = 5–70°, low angle first:
2θ/deg	I_rel
31.96	11
33.45	33
34.70	53
39.31	53
40.40	100
40.76	61
44.51	60
45.50	14
45.83	15
64.52	25

Cell lengths 8.855, 8.855, 5.357 Å; angles 90.00, 90.00, 90.00 degrees
Space group I4/mmm (No. 139)
Asymmetric unit:
Ho 0.000 0.000 0.000 x2
Ga 0.250 0.250 0.250 x8
Pd 0.000 0.222 0.500 x8
Pd 0.000 0.335 0.000 x8

Record 6
Diffraction record for Ho2Ga4PdRh3. The XRD peak list is calculated, not measured: it uses a cell relaxed with GGA-PBE and copper Kα.

Top 10 peaks for 2θ = 5–70°, low angle first:
2θ/deg	I_rel
30.26	14
33.63	61
34.95	100
43.33	57
46.58	12
48.99	29
55.94	28
62.18	12
62.94	18
67.44	22

Cell lengths 4.177, 4.177, 10.382 Å; angles 90.00, 90.00, 90.00 degrees
Space group P-4m2 (No. 115)
Asymmetric unit:
Ho 0.000 0.500 0.248 x2
Ga 0.000 0.000 0.500 x1
Ga 0.000 0.500 0.868 x2
Ga 0.500 0.500 0.500 x1
Pd 0.500 0.500 0.000 x1
Rh 0.000 0.000 0.000 x1
Rh 0.000 0.500 0.635 x2

Record 7
Diffraction record for Sm2HoGa3Pd4. The XRD peak list is calculated, not measured: it uses a cell relaxed with GGA-PBE and copper Kα.

Top 10 peaks for 2θ = 5–70°, low angle first:
2θ/deg	I_rel
26.18	8
31.65	32
33.72	100
38.12	13
42.50	49
43.86	18
45.27	19
53.92	21
61.67	16
63.83	13

Cell lengths 4.254, 4.254, 11.352 Å; angles 90.00, 90.00, 90.00 degrees
Space group P-4m2 (No. 115)
Asymmetric unit:
Sm 0.000 0.500 0.226 x2
Ho 0.000 0.000 0.500 x1
Ga 0.000 0.500 0.877 x2
Ga 0.500 0.500 0.500 x1
Pd 0.000 0.000 0.000 x1
Pd 0.000 0.500 0.657 x2
Pd 0.500 0.500 0.000 x1

Record 8
Diffraction record for HoTmGa2Pd2. The XRD peak list is calculated, not measured: it uses a cell relaxed with GGA-PBE and copper Kα.

Top 10 peaks for 2θ = 5–70°, low angle first:
2θ/deg	I_rel
22.87	12
26.47	3
35.26	100
40.17	64
46.73	3
48.75	1
54.50	37
59.86	2
63.28	2
69.83	51

Cell lengths 4.4895, 4.4895, 6.7352 Å; angles 90.00, 90.00, 120.00 degrees
Space group P-3m1 (No. 164)
Asymmetric unit:
Ho 0.0000 0.0000 0.0000 x1
Tm 0.0000 0.0000 0.5000 x1
Ga 0.3333 0.6667 0.7442 x2
Pd 0.3333 0.6667 0.2576 x2